# Na6TaGa3Si2P4O24
Calculated XRD peak list, Cu Kα X-rays. Input: a PBE-relaxed structure.
Peak positions follow from Bragg's law for the DFT cell and can differ from measured ones.

Unit cell a=8.8370 b=8.8488 c=8.8502 alpha=60.57 beta=60.28 gamma=60.27
Sites, in units of the cell vectors:
1 Na 0.0000 0.0000 0.0000
2 Na 0.0948 0.4098 0.7475
3 Na 0.3912 0.7388 0.7782
4 Na 0.5037 0.5064 0.4866
5 Na 0.6208 0.2677 0.1959
6 Na 0.8992 0.6194 0.2277
7 Ta 0.1482 0.1519 0.5481
8 Ga 0.3622 0.3575 0.9241
9 Ga 0.6432 0.6558 0.0468
10 Ga 0.8591 0.8535 0.4284
11 Si 0.2547 0.5596 0.2309
12 Si 0.7468 0.4673 0.7339
13 P 0.0379 0.7554 0.7422
14 P 0.4715 0.0494 0.7308
15 P 0.5469 0.9615 0.2296
16 P 0.9657 0.2532 0.2246
17 O 0.0004 0.7956 0.5727
18 O 0.0192 0.2068 0.3928
19 O 0.0723 0.7408 0.2471
20 O 0.0772 0.9193 0.7267
21 O 0.1269 0.2947 0.0469
22 O 0.2153 0.3706 0.4130
23 O 0.2208 0.5896 0.7437
24 O 0.2847 0.5187 0.0559
25 O 0.2871 0.0638 0.7210
26 O 0.3803 0.9924 0.4093
27 O 0.4240 0.2359 0.7443
28 O 0.4379 0.5627 0.2287
29 O 0.4970 0.8776 0.9002
30 O 0.5075 0.1315 0.0641
31 O 0.5705 0.4428 0.7469
32 O 0.5768 0.7768 0.2255
33 O 0.6299 0.0275 0.5508
34 O 0.7230 0.9507 0.2394
35 O 0.7302 0.4910 0.9145
36 O 0.7880 0.4237 0.2349
37 O 0.7877 0.6388 0.5486
38 O 0.8774 0.7205 0.9232
39 O 0.9272 0.0929 0.2427
40 O 0.9308 0.2735 0.7208

Most intense lines, 2θ from 10° to 90°, most intense first:
| d_spacing | two_theta | I (rel.) |
| --- | --- | --- |
| 4.434 | 20.03 | 100 |
| 2.806 | 31.90 | 46 |
| 2.560 | 35.06 | 42 |
| 3.775 | 23.57 | 34 |
| 6.270 | 14.12 | 34 |
| 2.820 | 31.73 | 30 |
| 3.140 | 28.43 | 29 |
| 4.418 | 20.10 | 24 |
| 2.549 | 35.21 | 24 |
| 4.463 | 19.89 | 21 |